No. 1
For Na5Pt4, a GGA-PBE-relaxed structure gives the simulated powder XRD pattern in this record (Cu Kα X-rays).
Kinematic intensities with the Lorentz-polarization factor, no thermal factor.

Top 10 peaks for 2θ = 5–70°, low angle first:
2theta, I (rel.)
12.25, 100
26.35, 78
36.39, 30
37.34, 57
37.88, 56
39.96, 16
45.26, 14
45.72, 16
50.54, 14
54.25, 17

Structural model:
Lattice parameters (Å, degrees): 8.341 8.341 5.778 90.00 90.00 120.00
Atoms (fractional coordinates):
Na (0.000, 0.355, 0.250)
Na (0.000, 0.645, 0.750)
Na (0.333, 0.667, 0.000)
Na (0.333, 0.667, 0.500)
Na (0.355, 0.000, 0.250)
Na (0.355, 0.355, 0.750)
Na (0.645, 0.000, 0.750)
Na (0.645, 0.645, 0.250)
Na (0.667, 0.333, 0.000)
Na (0.667, 0.333, 0.500)
Pt (0.000, 0.000, 0.000)
Pt (0.000, 0.000, 0.500)
Pt (0.000, 0.287, 0.750)
Pt (0.000, 0.713, 0.250)
Pt (0.287, 0.000, 0.750)
Pt (0.287, 0.287, 0.250)
Pt (0.713, 0.000, 0.250)
Pt (0.713, 0.713, 0.750)

No. 2
For Na3Pt2, a GGA-PBE-relaxed structure gives the simulated powder XRD pattern in this record (Cu Kα X-rays).
Kinematic intensities with the Lorentz-polarization factor, no thermal factor.

Top 10 peaks for 2θ = 5–70°, low angle first:
2theta, I (rel.)
15.71, 100
21.29, 47
26.56, 38
31.72, 20
37.31, 65
38.52, 44
40.71, 58
49.76, 34
54.70, 16
68.09, 16

Structural model:
Lattice parameters (Å, degrees): 4.820 4.820 5.642 90.00 90.00 120.00
Atoms (fractional coordinates):
Na (0.000, 0.000, 0.000)
Na (0.333, 0.667, 0.423)
Na (0.667, 0.333, 0.577)
Pt (0.333, 0.667, 0.947)
Pt (0.667, 0.333, 0.053)

No. 3
For Na3Pt4, a GGA-PBE-relaxed structure gives the simulated powder XRD pattern in this record (Cu Kα X-rays).
Kinematic intensities with the Lorentz-polarization factor, no thermal factor.

Top 10 peaks for 2θ = 5–70°, low angle first:
2theta, I (rel.)
6.76, 85
13.55, 100
20.38, 34
35.15, 35
36.32, 48
38.93, 31
40.36, 18
42.00, 22
52.31, 17
52.49, 20

Structural model:
Lattice parameters (Å, degrees): 13.302 13.302 13.302 164.89 164.89 21.43
Atoms (fractional coordinates):
Na (0.000, 0.000, 0.000)
Na (0.310, 0.310, 0.000)
Na (0.690, 0.690, 0.000)
Pt (0.113, 0.113, 0.000)
Pt (0.417, 0.417, 0.000)
Pt (0.583, 0.583, 0.000)
Pt (0.887, 0.887, 0.000)

No. 4
For Na5Pt3, a GGA-PBE-relaxed structure gives the simulated powder XRD pattern in this record (Cu Kα X-rays).
Kinematic intensities with the Lorentz-polarization factor, no thermal factor.

Top 10 peaks for 2θ = 5–70°, low angle first:
2theta, I (rel.)
21.81, 18
24.45, 100
34.82, 21
36.61, 33
38.38, 23
45.92, 22
47.36, 16
48.81, 20
61.26, 9
68.08, 9

Structural model:
Lattice parameters (Å, degrees): 8.551 8.551 8.532 95.15 95.15 145.05
Atoms (fractional coordinates):
Na (0.082, 0.724, 0.805)
Na (0.224, 0.419, 0.642)
Na (0.250, 0.250, 0.000)
Na (0.276, 0.918, 0.195)
Na (0.419, 0.224, 0.642)
Na (0.581, 0.776, 0.358)
Na (0.724, 0.082, 0.805)
Na (0.750, 0.750, 0.000)
Na (0.776, 0.581, 0.358)
Na (0.918, 0.276, 0.195)
Pt (0.163, 0.163, 0.330)
Pt (0.250, 0.750, 0.500)
Pt (0.335, 0.665, 0.000)
Pt (0.665, 0.335, 0.000)
Pt (0.750, 0.250, 0.500)
Pt (0.837, 0.837, 0.670)

What did the first record say?
For Na5Pt4, a GGA-PBE-relaxed structure gives the simulated powder XRD pattern in this record (Cu Kα X-rays).
Kinematic intensities with the Lorentz-polarization factor, no thermal factor.

Top 10 peaks for 2θ = 5–70°, low angle first:
2theta, I (rel.)
12.25, 100
26.35, 78
36.39, 30
37.34, 57
37.88, 56
39.96, 16
45.26, 14
45.72, 16
50.54, 14
54.25, 17

Structural model:
Lattice parameters (Å, degrees): 8.341 8.341 5.778 90.00 90.00 120.00
Atoms (fractional coordinates):
Na (0.000, 0.355, 0.250)
Na (0.000, 0.645, 0.750)
Na (0.333, 0.667, 0.000)
Na (0.333, 0.667, 0.500)
Na (0.355, 0.000, 0.250)
Na (0.355, 0.355, 0.750)
Na (0.645, 0.000, 0.750)
Na (0.645, 0.645, 0.250)
Na (0.667, 0.333, 0.000)
Na (0.667, 0.333, 0.500)
Pt (0.000, 0.000, 0.000)
Pt (0.000, 0.000, 0.500)
Pt (0.000, 0.287, 0.750)
Pt (0.000, 0.713, 0.250)
Pt (0.287, 0.000, 0.750)
Pt (0.287, 0.287, 0.250)
Pt (0.713, 0.000, 0.250)
Pt (0.713, 0.713, 0.750)